This entry pairs a crystal structure of NdZnCuNi2 with its theoretical XRD peak list. Radiation: Cu Kα (λ = 1.5418 Å). Structure: the GGA-PBE geometry in Alexandria.

Principal peaks in the range 15 to 90 degrees two-theta, sorted by position:
2theta	I_rel	hkl
32.6	15	1 1 0
33.7	29	0 1 3
33.9	32	1 0 3
36.6	100	1 1 2
46.4	24	0 2 0
47.1	31	2 0 0
47.9	19	0 1 5
48.0	16	1 0 5
58.7	16	1 2 3
68.3	14	2 2 0

Atomic structure:
```
data_NdZnCuNi2
_cell_length_a 3.862
_cell_length_b 3.911
_cell_length_c 10.864
_cell_angle_alpha 90.00
_cell_angle_beta 90.00
_cell_angle_gamma 90.00
_space_group_name_H-M_alt 'I m m 2'
_space_group_IT_number 44
_space_group_name_Hall 'I 2 -2'
loop_
_atom_site_label
_atom_site_fract_x
_atom_site_fract_y
_atom_site_fract_z
Nd1 0.000 0.000 0.000
Zn1 0.000 0.500 0.759
Cu1 0.000 0.000 0.620
Ni1 0.000 0.000 0.397
Ni2 0.000 0.500 0.265
```


This entry pairs a crystal structure of NdZn2CuNi with its theoretical XRD peak list. Radiation: Cu Kα (λ = 1.5418 Å). Structure: the GGA-PBE geometry in Alexandria.

Principal peaks in the range 15 to 90 degrees two-theta, sorted by position:
2theta	I_rel	hkl
32.0	22	0 0 4
32.5	27	0 1 3
33.6	30	1 0 3
36.0	100	1 1 2
44.3	26	0 2 0
46.2	21	0 1 5
47.0	15	1 0 5
47.6	21	2 0 0
56.7	13	1 2 3
67.1	14	2 2 0

Atomic structure:
```
data_NdZn2CuNi
_cell_length_a 3.819
_cell_length_b 4.090
_cell_length_c 11.196
_cell_angle_alpha 90.00
_cell_angle_beta 90.00
_cell_angle_gamma 90.00
_space_group_name_H-M_alt 'I m m 2'
_space_group_IT_number 44
_space_group_name_Hall 'I 2 -2'
loop_
_atom_site_label
_atom_site_fract_x
_atom_site_fract_y
_atom_site_fract_z
Nd1 0.000 0.000 0.000
Zn1 0.000 0.000 0.376
Zn2 0.000 0.500 0.237
Cu1 0.000 0.500 0.728
Ni1 0.000 0.000 0.595
```


This entry pairs a crystal structure of Nd4CuO7 with its theoretical XRD peak list. Radiation: Cu Kα (λ = 1.5418 Å). Structure: the GGA-PBE geometry in Alexandria.

Principal peaks in the range 15 to 90 degrees two-theta, sorted by position:
2theta	I_rel	hkl
27.2	14	4 0 -2
29.8	22	4 0 -1
30.5	100	2 0 -3
31.2	42	3 1 -2
44.2	13	6 0 -4
45.2	18	0 2 0
45.4	20	5 1 -1
54.8	13	7 1 -4
55.1	21	5 1 -5
55.5	14	2 2 -3

Atomic structure:
```
data_Nd4CuO7
_cell_length_a 13.112
_cell_length_b 4.015
_cell_length_c 9.166
_cell_angle_alpha 90.00
_cell_angle_beta 133.12
_cell_angle_gamma 90.00
_space_group_name_H-M_alt 'C 1 2/m 1'
_space_group_IT_number 12
_space_group_name_Hall '-C 2y'
loop_
_atom_site_label
_atom_site_fract_x
_atom_site_fract_y
_atom_site_fract_z
Nd1 0.085 0.000 0.390
Nd2 0.245 0.000 0.154
Cu1 0.000 0.500 0.000
O1 0.000 0.000 0.000
O2 0.087 0.500 0.895
O3 0.133 0.000 0.698
O4 0.204 0.500 0.554
```


This entry pairs a crystal structure of NdCuO with its theoretical XRD peak list. Radiation: Cu Kα (λ = 1.5418 Å). Structure: the GGA-PBE geometry in Alexandria.

Principal peaks in the range 15 to 90 degrees two-theta, sorted by position:
2theta	I_rel	hkl
25.7	53	1 0 1
30.1	95	1 0 4
32.5	100	0 1 5
36.5	35	0 0 9
38.2	25	1 0 7
44.6	83	1 1 0
48.5	18	1 0 10
56.3	21	2 0 5
58.9	50	1 1 9
74.5	19	1 2 5

Atomic structure:
```
data_NdCuO
_cell_length_a 4.0602
_cell_length_b 4.0602
_cell_length_c 22.1766
_cell_angle_alpha 90.00
_cell_angle_beta 90.00
_cell_angle_gamma 120.00
_space_group_name_H-M_alt 'R -3 m'
_space_group_IT_number 166
_space_group_name_Hall '-R 3 2"'
loop_
_atom_site_label
_atom_site_fract_x
_atom_site_fract_y
_atom_site_fract_z
Nd1 0.0000 0.0000 0.0993
Cu1 0.0000 0.0000 0.3338
O1 0.0000 0.0000 0.2080
```


This entry pairs a crystal structure of Nd12Cu6O25 with its theoretical XRD peak list. Radiation: Cu Kα (λ = 1.5418 Å). Structure: the GGA-PBE geometry in Alexandria.

Principal peaks in the range 15 to 90 degrees two-theta, sorted by position:
2theta	I_rel	hkl
24.4	30	4 0 1
27.4	27	4 0 -5
31.1	80	0 0 6
31.9	28	6 0 -1
32.1	81	3 1 -4
32.8	100	3 1 2
35.8	25	3 1 3
48.4	35	0 2 0
58.7	23	0 2 6
59.1	31	9 1 1

Atomic structure:
```
data_Nd12Cu6O25
_cell_length_a 17.242
_cell_length_b 3.760
_cell_length_c 18.479
_cell_angle_alpha 90.00
_cell_angle_beta 110.95
_cell_angle_gamma 90.00
_space_group_name_H-M_alt 'C 1 2/m 1'
_space_group_IT_number 12
_space_group_name_Hall '-C 2y'
loop_
_atom_site_label
_atom_site_fract_x
_atom_site_fract_y
_atom_site_fract_z
Nd1 0.031 0.000 0.236
Nd2 0.053 0.500 0.429
Nd3 0.143 0.000 0.103
Nd4 0.152 0.500 0.732
Nd5 0.170 0.000 0.921
Nd6 0.238 0.000 0.402
Cu1 0.017 0.500 0.926
Cu2 0.104 0.000 0.580
Cu3 0.189 0.500 0.252
O1 0.000 0.000 0.500
O2 0.020 0.000 0.911
O3 0.026 0.000 0.664
O4 0.069 0.500 0.807
O5 0.085 0.500 0.163
O6 0.104 0.500 0.582
O7 0.114 0.500 0.014
O8 0.124 0.500 0.342
O9 0.170 0.000 0.489
O10 0.187 0.000 0.252
O11 0.210 0.000 0.658
O12 0.221 0.000 0.813
O13 0.250 0.000 0.057
```


This entry pairs a crystal structure of Nd4Cu2O7 with its theoretical XRD peak list. Radiation: Cu Kα (λ = 1.5418 Å). Structure: the GGA-PBE geometry in Alexandria.

Principal peaks in the range 15 to 90 degrees two-theta, sorted by position:
2theta	I_rel	hkl
22.1	21	2 0 -2
30.5	96	2 0 2
31.5	73	1 1 -2
32.4	100	3 1 0
42.4	29	2 0 -4
43.8	28	3 1 2
47.9	25	0 2 0
54.3	41	1 1 4
56.0	29	5 1 2
57.9	31	2 2 2

Atomic structure:
```
data_Nd4Cu2O7
_cell_length_a 12.816
_cell_length_b 3.798
_cell_length_c 8.532
_cell_angle_alpha 90.00
_cell_angle_beta 109.32
_cell_angle_gamma 90.00
_space_group_name_H-M_alt 'C 1 2/m 1'
_space_group_IT_number 12
_space_group_name_Hall '-C 2y'
loop_
_atom_site_label
_atom_site_fract_x
_atom_site_fract_y
_atom_site_fract_z
Nd1 0.143 0.000 0.334
Nd2 0.159 0.000 0.820
Cu1 0.000 0.500 0.000
Cu2 0.000 0.500 0.500
O1 0.000 0.000 0.500
O2 0.010 0.500 0.791
O3 0.225 0.000 0.116
O4 0.247 0.000 0.620
```